The following is a simulated X-ray diffraction stick pattern of V3Fe2SbP6O24. It was derived from a crystal structure in Alexandria, relaxed with PBE+U, using Cu Kα (λ = 1.5418 Å).

Principal peaks in the range 2θ from 5° to 70°, in order of rising 2θ:
- 20.4 deg, I 99
- 20.6 deg, I 20
- 24.1 deg, I 100
- 31.7 deg, I 18
- 32.8 deg, I 72
- 35.7 deg, I 42
- 47.1 deg, I 35
- 49.3 deg, I 28
- 55.9 deg, I 31
- 62.4 deg, I 20

Atomic structure:
```
V3Fe2SbP6O24
1.0
4.3508 2.5120 7.0007
-4.3508 2.5120 7.0007
0.0000 -5.0239 7.0007
V Fe Sb P O
3 2 1 6 24
direct
0.0000 0.0000 0.0000
0.2151 0.2151 0.2151
0.4983 0.4983 0.4983
0.3571 0.3571 0.3571
0.8622 0.8622 0.8622
0.7144 0.7144 0.7144
0.1090 0.8136 0.3972
0.3130 0.6035 0.9015
0.3972 0.1090 0.8136
0.6035 0.9015 0.3130
0.8136 0.3972 0.1090
0.9015 0.3130 0.6035
0.0406 0.8514 0.2461
0.0966 0.3018 0.4480
0.1213 0.7668 0.9139
0.1657 0.9692 0.3680
0.2461 0.0406 0.8514
0.2618 0.6152 0.4231
0.3018 0.4480 0.0966
0.3602 0.5386 0.7449
0.3680 0.1657 0.9692
0.4231 0.2618 0.6152
0.4480 0.0966 0.3018
0.4702 0.6730 0.8652
0.5386 0.7449 0.3602
0.5997 0.9416 0.7987
0.6152 0.4231 0.2618
0.6730 0.8652 0.4702
0.7449 0.3602 0.5386
0.7668 0.9139 0.1213
0.7987 0.5997 0.9416
0.8514 0.2461 0.0406
0.8652 0.4702 0.6730
0.9139 0.1213 0.7668
0.9416 0.7987 0.5997
0.9692 0.3680 0.1657
```